# InFeSe2
Computed XRD peak list, a wavelength of 1.5418 Å. Input: a cell relaxed with GGA-PBE.

Structural model:
abc: 9.6615 3.5060 6.2006
angles: 90.00 113.45 90.00
Space group Cm (No. 8)
Unique sites:
In1 0.0000 0.0000 0.0000 [2 per cell]
Fe1 0.2670 0.0000 0.0035 [2 per cell]
Se1 0.1917 0.5000 0.7192 [2 per cell]
Se2 0.3417 0.5000 0.2880 [2 per cell]

Principal peaks in the range 10 to 90 degrees two-theta, sorted by position:
Position (°2θ)	I_rel
15.58	100
27.36	57
29.82	39
30.09	41
33.62	51
37.23	60
38.85	58
42.88	33
47.61	43
52.17	29

# Sm6InFe13
Computed XRD peak list, a wavelength of 1.5418 Å. Input: a cell relaxed with GGA-PBE.

Structural model:
abc: 8.0178 8.0178 23.2040
angles: 90.00 90.00 90.00
Space group I4/mcm (No. 140)
Unique sites:
Sm1 0.0000 0.0000 0.1044 [8 per cell]
Sm2 0.1644 0.3356 0.1844 [16 per cell]
In1 0.0000 0.0000 0.2500 [4 per cell]
Fe1 0.0000 0.5000 0.0000 [4 per cell]
Fe2 0.0664 0.2096 0.5000 [16 per cell]
Fe3 0.1139 0.3861 0.4051 [16 per cell]
Fe4 0.1790 0.3210 0.0593 [16 per cell]

Principal peaks in the range 10 to 90 degrees two-theta, sorted by position:
Position (°2θ)	I_rel
27.42	76
31.54	100
32.16	35
34.74	29
35.40	84
38.30	58
38.78	43
43.22	47
46.89	36
50.93	39

# InFe2Te
Computed XRD peak list, a wavelength of 1.5418 Å. Input: a cell relaxed with GGA-PBE.

Structural model:
abc: 3.6553 4.0115 5.2909
angles: 90.00 110.11 90.00
Space group Pm (No. 6)
Unique sites:
In1 0.0000 0.0000 0.0000 [1 per cell]
Fe1 0.2838 0.0000 0.5680 [1 per cell]
Fe2 0.4210 0.5000 0.8420 [1 per cell]
Te1 0.7093 0.5000 0.4180 [1 per cell]

Principal peaks in the range 10 to 90 degrees two-theta, sorted by position:
Position (°2θ)	I_rel
28.60	29
34.40	100
36.16	20
36.61	47
42.82	26
43.21	39
45.21	25
49.90	19
59.52	22
88.53	14

# Th5In2Fe2
Computed XRD peak list, a wavelength of 1.5418 Å. Input: a cell relaxed with GGA-PBE.

Structural model:
abc: 16.5011 8.3489 7.0655
angles: 90.00 90.00 90.00
Space group Cmce (No. 64)
Unique sites:
Th1 0.0000 0.0000 0.0000 [4 per cell]
Th2 0.1100 0.1755 0.3555 [16 per cell]
In1 0.2188 0.0000 0.0000 [8 per cell]
Fe1 0.0000 0.1068 0.6587 [8 per cell]

Principal peaks in the range 10 to 90 degrees two-theta, sorted by position:
Position (°2θ)	I_rel
10.72	57
24.77	44
27.95	83
30.46	100
31.79	79
33.06	76
35.08	86
38.87	82
40.16	48
58.46	51